Structure and calculated powder X-ray diffraction pattern of Co5Re7 (a structure optimized by DFT (PBE); Cu Kα X-rays).
Intensities are scaled so that the largest is 100.

Most intense lines, 2θ = 5–70°, in order of rising 2θ:
Position (°2θ)	I/Imax
11.37	44
27.35	16
35.93	40
37.15	42
40.91	75
43.57	62
44.06	100
44.78	64
46.22	12
46.73	36
66.18	15
69.52	29

Cell and atoms:
Lattice parameters (Å, degrees): 4.840 4.840 15.564 90.00 90.00 120.00
Fractional positions:
Co 0.000 0.500 0.000
Co 0.000 0.500 0.500
Co 0.333 0.667 0.120
Co 0.333 0.667 0.380
Co 0.500 0.000 0.000
Co 0.500 0.000 0.500
Co 0.500 0.500 0.000
Co 0.500 0.500 0.500
Co 0.667 0.333 0.620
Co 0.667 0.333 0.880
Re 0.000 0.000 0.083
Re 0.000 0.000 0.417
Re 0.000 0.000 0.583
Re 0.000 0.000 0.917
Re 0.164 0.329 0.250
Re 0.164 0.836 0.250
Re 0.329 0.164 0.750
Re 0.333 0.667 0.648
Re 0.333 0.667 0.852
Re 0.667 0.333 0.148
Re 0.667 0.333 0.352
Re 0.671 0.836 0.250
Re 0.836 0.164 0.750
Re 0.836 0.671 0.750

Structure and calculated powder X-ray diffraction pattern of Co4Re11 (a structure optimized by DFT (PBE); Cu Kα X-rays).
Intensities are scaled so that the largest is 100.

Most intense lines, 2θ = 5–70°, in order of rising 2θ:
Position (°2θ)	I/Imax
18.82	13
21.07	22
35.51	6
37.72	39
39.40	44
40.59	19
42.48	14
43.60	29
43.91	100
45.00	50
48.91	7
55.69	10

Cell and atoms:
Lattice parameters (Å, degrees): 9.429 9.429 4.769 90.00 90.00 90.00
Fractional positions:
Co 0.182 0.182 0.249
Co 0.182 0.182 0.751
Co 0.318 0.682 0.251
Co 0.318 0.682 0.749
Co 0.682 0.318 0.251
Co 0.682 0.318 0.749
Co 0.818 0.818 0.249
Co 0.818 0.818 0.751
Re 0.000 0.000 0.500
Re 0.036 0.635 0.000
Re 0.068 0.738 0.500
Re 0.098 0.902 0.000
Re 0.135 0.464 0.500
Re 0.238 0.432 0.000
Re 0.262 0.932 0.500
Re 0.365 0.964 0.000
Re 0.402 0.402 0.500
Re 0.432 0.238 0.000
Re 0.464 0.135 0.500
Re 0.500 0.500 0.000
Re 0.536 0.865 0.500
Re 0.568 0.762 0.000
Re 0.598 0.598 0.500
Re 0.635 0.036 0.000
Re 0.738 0.068 0.500
Re 0.762 0.568 0.000
Re 0.865 0.536 0.500
Re 0.902 0.098 0.000
Re 0.932 0.262 0.500
Re 0.964 0.365 0.000

Structure and calculated powder X-ray diffraction pattern of Co2Re11 (a structure optimized by DFT (PBE); Cu Kα X-rays).
Intensities are scaled so that the largest is 100.

Most intense lines, 2θ = 5–70°, in order of rising 2θ:
Position (°2θ)	I/Imax
20.71	23
35.78	25
39.89	26
40.94	29
41.40	100
41.70	30
42.98	38
43.85	26
45.10	55
48.31	21
68.12	23
69.26	19

Cell and atoms:
Lattice parameters (Å, degrees): 9.282 9.282 9.282 31.37 31.37 31.37
Fractional positions:
Co 0.045 0.045 0.045
Co 0.955 0.955 0.955
Re 0.080 0.590 0.590
Re 0.146 0.146 0.146
Re 0.336 0.336 0.336
Re 0.410 0.410 0.920
Re 0.410 0.920 0.410
Re 0.500 0.500 0.500
Re 0.590 0.080 0.590
Re 0.590 0.590 0.080
Re 0.664 0.664 0.664
Re 0.854 0.854 0.854
Re 0.920 0.410 0.410

Number 2 is which compound?
Co4Re11